This entry pairs a crystal structure of Mn6O5F7 with its simulated X-ray diffraction stick pattern. Radiation: Cu Ka. Structure: DFT lattice parameters and positions (PBE+U).

Largest 8 diffraction maxima, in order of rising 2θ, 10° ≤ 2θ ≤ 90°:
2θ = 26.57°, I 100.0; 2θ = 27.19°, I 95.1; 2θ = 33.69°, I 28.1; 2θ = 33.83°, I 32.7; 2θ = 33.99°, I 25.6; 2θ = 34.19°, I 27.7; 2θ = 39.35°, I 20.6; 2θ = 52.37°, I 29.7

Cell and atoms:
```
18
Lattice="5.618 0.000 0.000 1.728 5.467 0.000 1.973 1.472 6.873" Properties=species:S:1:pos:R:3 pbc="T T T"
Mn 0.000 0.000 0.000
Mn 1.048 0.889 3.393
Mn 2.837 1.770 0.966
Mn 4.133 2.847 4.560
Mn 5.661 4.087 2.205
Mn 6.723 4.895 5.664
O 1.157 0.826 1.421
O 5.209 3.661 5.879
O 5.740 5.661 1.084
O 5.602 2.531 3.376
O 8.229 6.130 5.387
F 2.417 3.274 5.606
F 1.793 3.556 1.111
F 2.915 1.989 3.219
F 3.937 4.675 3.367
F 5.433 6.526 5.801
F 4.578 3.123 0.862
F 6.698 5.041 3.615
```